The following is a computed powder X-ray diffraction pattern of B3C2. It was derived from a crystal structure in Alexandria, relaxed with PBE, using Cu Ka.
No peak broadening, texture or thermal motion is included.

Cell and atoms:
```
data_B3C2
_symmetry_space_group_name_H-M 'I m m 2'
_symmetry_Int_Tables_number 44
_symmetry_space_group_name_Hall 'I 2 -2'
_cell_length_a 2.327
_cell_length_b 2.595
_cell_length_c 22.525
_cell_angle_alpha 90.00
_cell_angle_beta 90.00
_cell_angle_gamma 90.00
loop_
_atom_site_label
_atom_site_fract_x
_atom_site_fract_y
_atom_site_fract_z
B1 0.000 0.000 0.000
B2 0.000 0.000 0.190
B3 0.000 0.000 0.596
B4 0.000 0.000 0.806
B5 0.000 0.500 0.245
B6 0.000 0.500 0.438
C1 0.000 0.000 0.391
C2 0.000 0.500 0.042
C3 0.000 0.500 0.637
C4 0.000 0.500 0.853
```

Main lines, low angle first (2θ = 10–90°):
2θ = 15.7°, d 5.631, I 34, (0 0 4); 2θ = 40.1°, d 2.249, I 100, (0 1 5); 2θ = 43.8°, d 2.068, I 85, (1 0 5); 2θ = 68.3°, d 1.373, I 54, (1 1 10); 2θ = 72.8°, d 1.300, I 12, (0 1 15); 2θ = 72.9°, d 1.297, I 13, (0 2 0); 2θ = 83.0°, d 1.164, I 9, (2 0 0); 2θ = 89.1°, d 1.099, I 17, (1 2 5)



The following is a computed powder X-ray diffraction pattern of B5C7. It was derived from a crystal structure in Alexandria, relaxed with PBE, using Cu Ka.
No peak broadening, texture or thermal motion is included.

Cell and atoms:
```
data_B5C7
_symmetry_space_group_name_H-M 'P m m 2'
_symmetry_Int_Tables_number 25
_symmetry_space_group_name_Hall 'P 2 -2'
_cell_length_a 2.480
_cell_length_b 2.564
_cell_length_c 12.321
_cell_angle_alpha 90.00
_cell_angle_beta 90.00
_cell_angle_gamma 90.00
loop_
_atom_site_label
_atom_site_fract_x
_atom_site_fract_y
_atom_site_fract_z
B1 0.000 0.000 0.000
B2 0.000 0.000 0.349
B3 0.000 0.500 0.597
B4 0.500 0.000 0.111
B5 0.500 0.000 0.761
C1 0.000 0.000 0.674
C2 0.000 0.500 0.263
C3 0.000 0.500 0.918
C4 0.500 0.000 0.438
C5 0.500 0.500 0.195
C6 0.500 0.500 0.503
C7 0.500 0.500 0.850
```

Main lines, low angle first (2θ = 10–90°):
2θ = 21.6°, d 4.107, I 12, (0 0 3); 2θ = 41.5°, d 2.175, I 100, (0 1 3); 2θ = 42.6°, d 2.123, I 98, (1 0 3); 2θ = 69.9°, d 1.346, I 54, (1 1 6); 2θ = 73.9°, d 1.282, I 13, (0 2 0); 2θ = 76.9°, d 1.240, I 11, (2 0 0); 2θ = 79.3°, d 1.208, I 9, (0 1 9); 2θ = 89.2°, d 1.097, I 17, (1 2 3)



The following is a computed powder X-ray diffraction pattern of B5C7. It was derived from a crystal structure in Alexandria, relaxed with PBE, using Cu Ka.
No peak broadening, texture or thermal motion is included.

Cell and atoms:
```
data_B5C7
_symmetry_space_group_name_H-M 'P 1 2 1'
_symmetry_Int_Tables_number 3
_symmetry_space_group_name_Hall 'P 2y'
_cell_length_a 3.953
_cell_length_b 3.693
_cell_length_c 5.710
_cell_angle_alpha 90.00
_cell_angle_beta 109.06
_cell_angle_gamma 90.00
loop_
_atom_site_label
_atom_site_fract_x
_atom_site_fract_y
_atom_site_fract_z
B1 0.000 0.000 0.000
B2 0.140 0.513 0.337
B3 0.386 0.240 0.158
C1 0.000 0.228 0.500
C2 0.194 0.765 0.841
C3 0.320 0.988 0.655
C4 0.500 0.534 0.000
C5 0.500 0.744 0.500
```

Main lines, low angle first (2θ = 10–90°):
2θ = 24.1°, d 3.689, I 25, (1 0 -1); 2θ = 41.5°, d 2.174, I 96, (1 1 1); 2θ = 42.1°, d 2.144, I 100, (1 1 -2); 2θ = 69.7°, d 1.349, I 26, (2 2 -1); 2θ = 70.0°, d 1.344, I 13, (2 0 2); 2θ = 71.7°, d 1.317, I 12, (2 0 -4); 2θ = 73.5°, d 1.289, I 24, (0 2 3); 2θ = 87.1°, d 1.119, I 9, (1 3 1)



The following is a computed powder X-ray diffraction pattern of B3C. It was derived from a crystal structure in Alexandria, relaxed with PBE, using Cu Ka.
No peak broadening, texture or thermal motion is included.

Cell and atoms:
```
data_B3C
_symmetry_space_group_name_H-M 'C 1 m 1'
_symmetry_Int_Tables_number 8
_symmetry_space_group_name_Hall 'C -2y'
_cell_length_a 12.230
_cell_length_b 2.672
_cell_length_c 5.221
_cell_angle_alpha 90.00
_cell_angle_beta 94.75
_cell_angle_gamma 90.00
loop_
_atom_site_label
_atom_site_fract_x
_atom_site_fract_y
_atom_site_fract_z
B1 0.000 0.000 0.000
B2 0.000 0.500 0.427
B3 0.047 0.000 0.657
B4 0.149 0.500 0.287
B5 0.225 0.000 0.456
B6 0.230 0.500 0.852
B7 0.355 0.000 0.210
B8 0.368 0.000 0.537
B9 0.398 0.500 0.752
C1 0.042 0.500 0.132
C2 0.178 0.000 0.741
C3 0.344 0.500 0.043
```

Main lines, low angle first (2θ = 10–90°):
2θ = 21.5°, d 4.129, I 17, (2 0 -1); 2θ = 32.8°, d 2.730, I 14, (4 0 -1); 2θ = 36.4°, d 2.467, I 19, (2 0 -2); 2θ = 38.9°, d 2.316, I 100, (1 1 1); 2θ = 43.8°, d 2.065, I 29, (4 0 -2); 2θ = 44.6°, d 2.031, I 27, (6 0 0); 2θ = 67.9°, d 1.380, I 24, (7 1 1); 2θ = 70.5°, d 1.336, I 15, (0 2 0)



The following is a computed powder X-ray diffraction pattern of BC7. It was derived from a crystal structure in Alexandria, relaxed with PBE, using Cu Ka.
No peak broadening, texture or thermal motion is included.

Cell and atoms:
```
data_BC7
_symmetry_space_group_name_H-M 'C 1 m 1'
_symmetry_Int_Tables_number 8
_symmetry_space_group_name_Hall 'C -2y'
_cell_length_a 8.533
_cell_length_b 2.528
_cell_length_c 4.468
_cell_angle_alpha 90.00
_cell_angle_beta 99.66
_cell_angle_gamma 90.00
loop_
_atom_site_label
_atom_site_fract_x
_atom_site_fract_y
_atom_site_fract_z
B1 0.000 0.000 0.000
C1 0.182 0.500 0.553
C2 0.191 0.000 0.057
C3 0.246 0.000 0.739
C4 0.249 0.500 0.243
C5 0.427 0.000 0.786
C6 0.433 0.500 0.312
C7 0.495 0.000 0.493
```

Main lines, low angle first (2θ = 10–90°):
2θ = 20.2°, d 4.404, I 3, (0 0 1); 2θ = 43.0°, d 2.102, I 98, (2 0 -2); 2θ = 43.5°, d 2.080, I 100, (1 1 1); 2θ = 73.8°, d 1.284, I 64, (6 0 -2); 2θ = 75.2°, d 1.264, I 12, (0 2 0); 2θ = 88.8°, d 1.101, I 9, (0 0 4); 2θ = 89.2°, d 1.098, I 7, (3 1 3); 2θ = 89.7°, d 1.093, I 17, (7 1 -1)



The following is a computed powder X-ray diffraction pattern of B5C7. It was derived from a crystal structure in Alexandria, relaxed with PBE, using Cu Ka.
No peak broadening, texture or thermal motion is included.

Cell and atoms:
```
data_B5C7
_symmetry_space_group_name_H-M 'P 1 m 1'
_symmetry_Int_Tables_number 6
_symmetry_space_group_name_Hall 'P -2y'
_cell_length_a 4.780
_cell_length_b 2.530
_cell_length_c 6.527
_cell_angle_alpha 90.00
_cell_angle_beta 96.43
_cell_angle_gamma 90.00
loop_
_atom_site_label
_atom_site_fract_x
_atom_site_fract_y
_atom_site_fract_z
B1 0.000 0.000 0.000
B2 0.044 0.000 0.734
B3 0.176 0.500 0.428
B4 0.678 0.000 0.709
B5 0.806 0.500 0.121
C1 0.207 0.500 0.676
C2 0.348 0.000 0.095
C3 0.368 0.000 0.334
C4 0.489 0.500 0.017
C5 0.495 0.500 0.785
C6 0.694 0.000 0.436
C7 0.836 0.500 0.362
```

Main lines, low angle first (2θ = 10–90°):
2θ = 18.7°, d 4.750, I 13, (1 0 0); 2θ = 21.9°, d 4.055, I 16, (1 0 -1); 2θ = 41.8°, d 2.162, I 46, (0 0 3); 2θ = 41.9°, d 2.154, I 48, (2 0 1); 2θ = 42.1°, d 2.146, I 100, (1 1 -1); 2θ = 69.9°, d 1.346, I 24, (1 1 -4); 2θ = 70.1°, d 1.342, I 26, (3 1 0); 2θ = 75.1°, d 1.265, I 12, (0 2 0)



The following is a computed powder X-ray diffraction pattern of B5C7. It was derived from a crystal structure in Alexandria, relaxed with PBE, using Cu Ka.
No peak broadening, texture or thermal motion is included.

Cell and atoms:
```
data_B5C7
_symmetry_space_group_name_H-M 'P m m 2'
_symmetry_Int_Tables_number 25
_symmetry_space_group_name_Hall 'P 2 -2'
_cell_length_a 2.438
_cell_length_b 2.538
_cell_length_c 12.618
_cell_angle_alpha 90.00
_cell_angle_beta 90.00
_cell_angle_gamma 90.00
loop_
_atom_site_label
_atom_site_fract_x
_atom_site_fract_y
_atom_site_fract_z
B1 0.000 0.000 0.000
B2 0.000 0.000 0.312
B3 0.000 0.000 0.687
B4 0.500 0.000 0.579
B5 0.500 0.500 0.475
C1 0.000 0.500 0.079
C2 0.000 0.500 0.389
C3 0.000 0.500 0.767
C4 0.500 0.000 0.220
C5 0.500 0.000 0.908
C6 0.500 0.500 0.151
C7 0.500 0.500 0.839
```

Main lines, low angle first (2θ = 10–90°):
2θ = 14.0°, d 6.309, I 18, (0 0 2); 2θ = 21.1°, d 4.206, I 13, (0 0 3); 2θ = 41.6°, d 2.173, I 97, (0 1 3); 2θ = 42.9°, d 2.109, I 100, (1 0 3); 2θ = 69.7°, d 1.349, I 45, (1 1 6); 2θ = 74.8°, d 1.269, I 13, (0 2 0); 2θ = 75.5°, d 1.259, I 11, (1 1 7); 2θ = 78.5°, d 1.219, I 12, (2 0 0)



The following is a computed powder X-ray diffraction pattern of B5C7. It was derived from a crystal structure in Alexandria, relaxed with PBE, using Cu Ka.
No peak broadening, texture or thermal motion is included.

Cell and atoms:
```
data_B5C7
_symmetry_space_group_name_H-M 'C 1 m 1'
_symmetry_Int_Tables_number 8
_symmetry_space_group_name_Hall 'C -2y'
_cell_length_a 8.702
_cell_length_b 2.493
_cell_length_c 8.259
_cell_angle_alpha 90.00
_cell_angle_beta 119.49
_cell_angle_gamma 90.00
loop_
_atom_site_label
_atom_site_fract_x
_atom_site_fract_y
_atom_site_fract_z
B1 0.000 0.000 0.000
B2 0.010 0.500 0.635
B3 0.021 0.000 0.488
B4 0.294 0.000 0.670
B5 0.338 0.000 0.163
C1 0.012 0.500 0.145
C2 0.159 0.500 0.853
C3 0.163 0.000 0.958
C4 0.185 0.500 0.334
C5 0.194 0.000 0.446
C6 0.313 0.500 0.804
C7 0.342 0.500 0.296
```

Main lines, low angle first (2θ = 10–90°):
2θ = 23.5°, d 3.787, I 10, (2 0 0); 2θ = 24.8°, d 3.595, I 6, (0 0 2); 2θ = 41.5°, d 2.174, I 32, (4 0 -2); 2θ = 42.3°, d 2.134, I 100, (1 1 -2); 2θ = 69.3°, d 1.355, I 13, (5 1 -4); 2θ = 70.5°, d 1.336, I 20, (1 1 4); 2θ = 75.3°, d 1.262, I 10, (6 0 0); 2θ = 76.4°, d 1.247, I 8, (0 2 0)